Mn3OF5: computed powder diffractogram (copper Kα), based on a cell relaxed with PBE+U.
No peak broadening, texture or thermal motion is included.

Crystal structure
```
data_Mn3OF5
_chemical_formula_sum 'Mn6 O2 F10'
_cell_length_a 10.7730
_cell_length_b 10.7730
_cell_length_c 3.2450
_cell_angle_alpha 90.00
_cell_angle_beta 90.00
_cell_angle_gamma 141.72
_symmetry_space_group_name_H-M 'P 1'
_symmetry_Int_Tables_number 1
loop_
_symmetry_equiv_pos_as_xyz
'x,y,z'
loop_
_atom_site_label
_atom_site_type_symbol
_atom_site_fract_x
_atom_site_fract_y
_atom_site_fract_z
Mn1 Mn 0.0000 0.0000 0.0000
Mn2 Mn 0.1517 0.8483 0.5000
Mn3 Mn 0.3267 0.6733 0.0000
Mn4 Mn 0.5000 0.5000 0.5000
Mn5 Mn 0.6733 0.3267 0.0000
Mn6 Mn 0.8483 0.1517 0.5000
O1 O 0.0938 0.9062 0.0000
O2 O 0.9062 0.0938 0.0000
F1 F 0.1342 0.4736 0.5000
F2 F 0.1909 0.1909 0.5000
F3 F 0.2210 0.7790 0.0000
F4 F 0.4331 0.5669 0.0000
F5 F 0.4736 0.1342 0.5000
F6 F 0.5264 0.8658 0.5000
F7 F 0.5669 0.4331 0.0000
F8 F 0.7790 0.2210 0.0000
F9 F 0.8091 0.8091 0.5000
F10 F 0.8658 0.5264 0.5000
```

Top 8 peaks for 2θ = 5–70°, in order of falling intensity:
d/Å, Position (°2θ), I (rel.)
3.532, 25.2, 1000
2.704, 33.1, 896
3.392, 26.3, 833
1.835, 49.7, 637
1.795, 50.9, 437
1.457, 63.9, 378
2.390, 37.6, 225
1.623, 56.7, 199